Entry 1:
Diffraction record for KMo2Cl7O2. The powder X-ray diffraction pattern is simulated, not measured: it uses a PBE+U-relaxed structure and a wavelength of 1.5418 Å.
No peak broadening, texture or thermal motion is included.

Structure:
```
data_KMo2Cl7O2
_chemical_formula_sum 'K4 Mo8 Cl28 O8'
_cell_length_a 11.3769
_cell_length_b 11.9545
_cell_length_c 10.7812
_cell_angle_alpha 90.00
_cell_angle_beta 108.50
_cell_angle_gamma 90.00
_space_group_name_H-M_alt 'C 1 2/c 1'
_space_group_IT_number 15
loop_
_space_group_symop_operation_xyz
'x,y,z'
'-x,-y,-z'
'-x,y,-z+1/2'
'x,-y,z+1/2'
'x+1/2,y+1/2,z'
'-x+1/2,-y+1/2,-z'
'-x+1/2,y+1/2,-z+1/2'
'x+1/2,-y+1/2,z+1/2'
loop_
_atom_site_label
_atom_site_fract_x
_atom_site_fract_y
_atom_site_fract_z
K1 0.0000 0.0973 0.2500
Mo1 0.1105 0.2539 0.6610
Cl1 0.0000 0.4001 0.7500
Cl2 0.0122 0.3188 0.4476
Cl3 0.1286 0.1629 0.8692
Cl4 0.1512 0.0807 0.5792
O1 0.2498 0.1804 0.2975
```

Peak list (12 most intense, 2θ = 10–90°, low angle first)
index, 2θ/deg, d [Å], Rel. int.
1 1 -1, 12.33, 7.179, 17
0 2 0, 14.82, 5.977, 64
1 1 1, 15.58, 5.688, 100
2 0 0, 16.43, 5.394, 15
3 1 -1, 24.64, 3.613, 37
2 2 -2, 24.80, 3.590, 21
1 1 -3, 25.88, 3.443, 16
0 2 3, 30.19, 2.961, 23
2 4 -1, 34.06, 2.632, 16
3 3 -3, 37.60, 2.392, 16
1 1 -5, 43.00, 2.103, 14
2 6 2, 54.06, 1.696, 15

Entry 2:
Diffraction record for K2MoCl5O. The powder X-ray diffraction pattern is simulated, not measured: it uses a PBE+U-relaxed structure and a wavelength of 1.5418 Å.
No peak broadening, texture or thermal motion is included.

Structure:
```
data_K2MoCl5O
_chemical_formula_sum 'K8 Mo4 Cl20 O4'
_cell_length_a 13.8584
_cell_length_b 9.8984
_cell_length_c 7.2164
_cell_angle_alpha 90.00
_cell_angle_beta 90.00
_cell_angle_gamma 90.00
_space_group_name_H-M_alt 'P n m a'
_space_group_IT_number 62
loop_
_space_group_symop_operation_xyz
'x,y,z'
'-x,-y,-z'
'-x+1/2,-y,z+1/2'
'x+1/2,y,-z+1/2'
'x+1/2,-y+1/2,-z+1/2'
'-x+1/2,y+1/2,z+1/2'
'-x,y+1/2,-z'
'x,-y+1/2,z'
loop_
_atom_site_label
_atom_site_fract_x
_atom_site_fract_y
_atom_site_fract_z
K1 0.1464 0.0031 0.1757
Mo1 0.0964 0.7500 0.6923
Cl1 0.0034 0.7500 0.9799
Cl2 0.1089 0.5060 0.7098
Cl3 0.2151 0.7500 0.4414
Cl4 0.2458 0.7500 0.9077
O1 0.0025 0.2500 0.4486
```

Peak list (12 most intense, 2θ = 10–90°, low angle first)
index, 2θ/deg, d [Å], Rel. int.
0 1 1, 15.19, 5.831, 100
2 1 0, 15.61, 5.677, 92
2 0 1, 17.75, 4.998, 36
2 2 1, 25.33, 3.517, 31
4 0 1, 28.58, 3.123, 30
2 3 0, 30.00, 2.979, 24
0 2 2, 30.66, 2.916, 23
1 2 2, 31.35, 2.853, 23
4 2 0, 31.49, 2.841, 77
4 0 2, 35.93, 2.499, 49
0 4 0, 36.30, 2.475, 60
4 4 2, 52.00, 1.759, 34

Copy entry 2 word for word.
Diffraction record for K2MoCl5O. The powder X-ray diffraction pattern is simulated, not measured: it uses a PBE+U-relaxed structure and a wavelength of 1.5418 Å.
No peak broadening, texture or thermal motion is included.

Structure:
```
data_K2MoCl5O
_chemical_formula_sum 'K8 Mo4 Cl20 O4'
_cell_length_a 13.8584
_cell_length_b 9.8984
_cell_length_c 7.2164
_cell_angle_alpha 90.00
_cell_angle_beta 90.00
_cell_angle_gamma 90.00
_space_group_name_H-M_alt 'P n m a'
_space_group_IT_number 62
loop_
_space_group_symop_operation_xyz
'x,y,z'
'-x,-y,-z'
'-x+1/2,-y,z+1/2'
'x+1/2,y,-z+1/2'
'x+1/2,-y+1/2,-z+1/2'
'-x+1/2,y+1/2,z+1/2'
'-x,y+1/2,-z'
'x,-y+1/2,z'
loop_
_atom_site_label
_atom_site_fract_x
_atom_site_fract_y
_atom_site_fract_z
K1 0.1464 0.0031 0.1757
Mo1 0.0964 0.7500 0.6923
Cl1 0.0034 0.7500 0.9799
Cl2 0.1089 0.5060 0.7098
Cl3 0.2151 0.7500 0.4414
Cl4 0.2458 0.7500 0.9077
O1 0.0025 0.2500 0.4486
```

Peak list (12 most intense, 2θ = 10–90°, low angle first)
index, 2θ/deg, d [Å], Rel. int.
0 1 1, 15.19, 5.831, 100
2 1 0, 15.61, 5.677, 92
2 0 1, 17.75, 4.998, 36
2 2 1, 25.33, 3.517, 31
4 0 1, 28.58, 3.123, 30
2 3 0, 30.00, 2.979, 24
0 2 2, 30.66, 2.916, 23
1 2 2, 31.35, 2.853, 23
4 2 0, 31.49, 2.841, 77
4 0 2, 35.93, 2.499, 49
0 4 0, 36.30, 2.475, 60
4 4 2, 52.00, 1.759, 34